No. 1
# Te4Pd9
Simulated X-ray diffraction stick pattern, Cu Kα. Input: a DFT-relaxed cell (GGA-PBE, OQMD).
Lines closer than 0.1° are merged.

Cell and atoms:
```
Te4Pd9
1.0
7.515 0.000 0.000
0.000 14.088 0.000
-0.308 0.000 8.957
Te Pd
16 36
Cartesian
0.256 3.497 0.602
0.101 3.547 5.080
1.218 0.079 7.986
1.372 6.965 3.507
1.658 7.101 7.643
1.812 14.030 3.165
3.349 10.388 1.281
3.195 10.744 5.759
4.011 3.344 3.198
3.857 3.700 7.676
5.394 0.058 5.791
5.549 6.986 1.313
5.834 7.122 5.449
5.988 14.009 0.971
7.105 10.541 3.876
6.951 10.591 8.355
-0.043 8.895 1.716
-0.197 12.237 6.195
0.444 0.918 5.440
0.599 6.126 0.962
0.948 9.422 6.271
1.102 11.710 1.792
1.422 2.756 7.416
1.576 4.287 2.938
2.091 9.555 3.543
1.937 11.576 8.021
2.428 1.959 1.237
2.273 5.085 5.716
2.868 7.723 1.276
2.714 13.408 5.754
3.283 7.918 5.486
3.437 13.214 1.008
3.390 2.134 5.432
3.544 4.910 0.954
3.662 9.178 8.003
3.816 11.954 3.525
3.769 0.874 7.949
3.923 6.170 3.470
4.492 0.680 3.202
4.338 6.364 7.680
4.933 9.002 3.241
4.779 12.129 7.719
5.269 2.511 0.935
5.115 4.533 5.414
5.630 9.800 6.019
5.784 11.331 1.540
6.104 2.378 7.164
6.258 4.666 2.686
6.608 7.962 7.995
6.762 13.170 3.517
7.403 1.851 2.762
7.249 5.193 7.240
```

Top 10 peaks for 10 to 80 degrees two-theta, by angle:
2θ/deg  I (rel.)
32.4  40
34.8  56
39.2  46
39.4  70
39.9  100
40.0  78
40.3  62
40.7  51
41.9  37
45.6  52


No. 2
# ZnPb2F6
Simulated X-ray diffraction stick pattern, Cu Kα. Input: a DFT-relaxed cell (GGA-PBE, OQMD).
Lines closer than 0.1° are merged.

Cell and atoms:
```
ZnPb2F6
1.0
5.583 0.000 0.000
0.000 5.583 0.000
0.000 0.000 15.826
Zn Pb F
4 8 24
Cartesian
0.000 0.000 0.000
0.000 2.792 7.913
2.792 0.000 7.913
2.792 2.792 0.000
0.036 0.036 5.470
0.036 2.756 13.383
2.756 0.036 13.383
2.756 2.756 5.470
2.827 2.827 10.356
2.827 5.548 2.443
5.548 2.827 2.443
5.548 5.548 10.356
0.266 0.266 13.855
0.266 2.526 5.942
1.396 1.396 0.551
1.396 1.396 3.811
1.396 1.396 8.464
1.396 1.396 11.724
1.396 4.188 0.000
1.396 4.188 3.956
1.396 4.188 7.913
1.396 4.188 11.869
2.526 0.266 5.942
2.526 2.526 13.855
3.058 3.058 1.971
3.058 5.317 9.884
4.188 1.396 0.000
4.188 1.396 3.956
4.188 1.396 7.913
4.188 1.396 11.869
4.188 4.188 4.102
4.188 4.188 7.362
4.188 4.188 12.015
4.188 4.188 15.275
5.317 3.058 9.884
5.317 5.317 1.971
```

Top 10 peaks for 10 to 80 degrees two-theta, by angle:
2θ/deg  I (rel.)
23.2  14
28.2  100
32.1  35
34.0  16
39.5  23
46.0  23
47.4  26
54.8  34
57.4  12
58.4  14


No. 3
# Gd2ErAs3
Simulated X-ray diffraction stick pattern, Cu Kα. Input: a DFT-relaxed cell (GGA-PBE, OQMD).
Lines closer than 0.1° are merged.

Cell and atoms:
```
Gd2ErAs3
1.0
4.129 0.000 0.000
-2.065 3.576 0.000
0.000 0.000 10.109
Gd Er As
2 1 3
Cartesian
0.000 2.384 3.349
2.065 1.192 6.760
0.000 0.000 0.000
0.000 0.000 5.054
0.000 2.384 8.468
2.065 1.192 1.641
```

Top 8 peaks for 10 to 80 degrees two-theta, by angle:
2θ/deg  I (rel.)
26.4  22
30.6  100
43.9  75
51.9  11
54.4  26
63.8  12
70.3  5
72.4  33


No. 4
# Na4TlCd3
Simulated X-ray diffraction stick pattern, Cu Kα. Input: a DFT-relaxed cell (GGA-PBE, OQMD).
Lines closer than 0.1° are merged.

Cell and atoms:
```
Na4TlCd3
1.0
5.179 0.000 0.000
0.000 5.179 0.000
0.000 0.000 7.348
Na Tl Cd
4 1 3
Cartesian
0.000 0.000 0.000
0.000 2.590 5.488
2.590 0.000 1.861
2.590 2.590 3.674
2.590 2.590 0.000
0.000 0.000 3.674
0.000 2.590 1.892
2.590 0.000 5.456
```

Top 10 peaks for 10 to 80 degrees two-theta, by angle:
2θ/deg  I (rel.)
21.0  58
34.6  100
40.8  32
49.8  12
54.6  14
61.9  12
62.0  23
66.3  8
72.9  7
77.0  7


No. 5
# Li4GePdO6
Simulated X-ray diffraction stick pattern, Cu Kα. Input: a DFT-relaxed cell (GGA-PBE, OQMD).
Lines closer than 0.1° are merged.

Cell and atoms:
```
Li4GePdO6
1.0
2.528 -4.374 0.000
2.528 4.374 0.000
-1.706 0.000 4.758
Li Ge Pd O
4 1 1 6
Cartesian
0.000 0.000 0.000
2.528 1.372 0.000
2.528 -1.551 0.000
1.675 -2.973 2.379
1.675 2.859 2.379
1.675 -0.059 2.379
0.932 1.466 1.268
-0.019 -0.172 3.480
0.727 -1.467 1.290
2.418 1.466 3.490
3.370 -0.172 1.277
2.624 -1.467 3.468
```

Top 10 peaks for 10 to 80 degrees two-theta, by angle:
2θ/deg  I (rel.)
18.7  100
20.3  22
21.3  39
23.8  29
27.7  19
36.1  47
37.8  22
43.8  27
44.0  53
63.8  38


No. 6
# TaAs2
Simulated X-ray diffraction stick pattern, Cu Kα. Input: a DFT-relaxed cell (GGA-PBE, OQMD).
Lines closer than 0.1° are merged.

Cell and atoms:
```
TaAs2
1.0
4.716 -1.706 0.000
4.716 1.706 0.000
-3.874 0.000 6.819
Ta As
2 4
Cartesian
0.721 0.000 1.334
4.837 0.000 5.485
-0.719 0.000 3.602
3.406 0.000 0.731
2.152 0.000 6.088
6.277 0.000 3.217
```

Top 10 peaks for 10 to 80 degrees two-theta, by angle:
2θ/deg  I (rel.)
19.0  50
33.5  100
39.1  29
39.7  41
40.3  41
42.4  82
42.6  43
44.2  30
45.7  47
53.7  30